# 1
This entry pairs a crystal structure of HoZn8Cu4 with its theoretical X-ray diffraction stick pattern. Radiation: copper Kα. Structure: a DFT-relaxed cell (GGA-PBE, Alexandria).

Structural model:
abc: 8.797 8.797 4.968
angles: 90.00 90.00 90.00
Space group I4/mmm (No. 139)
Symmetry-distinct sites (fractional):
Ho1 0.000 0.000 0.000 x2
Zn1 0.000 0.218 0.500 x8
Zn2 0.000 0.347 0.000 x8
Cu1 0.250 0.250 0.250 x8

Largest 10 diffraction maxima, by angle, 5° ≤ 2θ ≤ 70°:
d [Å]  two_theta  intensity  (hkl)
3.084  28.95  22  2 1 1
2.782  32.18  13  3 1 0
2.525  35.55  51  3 0 1
2.484  36.16  17  0 0 2
2.199  41.04  60  4 0 0
2.190  41.22  100  3 2 1
2.163  41.76  66  2 0 2
1.967  46.15  15  4 2 0
1.941  46.81  35  2 2 2
1.370  68.48  21  3 2 3

# 2
This entry pairs a crystal structure of Yb3Ti3O14 with its theoretical X-ray diffraction stick pattern. Radiation: copper Kα. Structure: a DFT-relaxed cell (GGA-PBE, Alexandria).

Structural model:
abc: 12.849 7.319 7.915
angles: 90.00 125.38 90.00
Space group C2/m (No. 12)
Symmetry-distinct sites (fractional):
Yb1 0.000 0.000 0.000 x2
Yb2 0.250 0.250 0.500 x4
Ti1 0.000 0.500 0.000 x2
Ti2 0.250 0.250 0.000 x4
O1 0.091 0.300 0.974 x8
O2 0.124 0.500 0.298 x4
O3 0.135 0.000 0.332 x4
O4 0.187 0.259 0.712 x8
O5 0.197 0.000 0.977 x4

Largest 10 diffraction maxima, by angle, 5° ≤ 2θ ≤ 70°:
d [Å]  two_theta  intensity  (hkl)
6.178  14.34  100  2 0 -1
5.238  16.93  23  2 0 0
3.249  27.45  22  2 0 1
3.227  27.64  39  0 0 2
3.183  28.03  34  0 2 1
3.089  28.91  34  4 0 -2
3.000  29.78  66  2 2 0
2.686  33.36  30  2 2 -2
1.847  49.35  21  6 2 -2
1.575  58.61  20  6 2 0

# 3
This entry pairs a crystal structure of BaBiF with its theoretical X-ray diffraction stick pattern. Radiation: copper Kα. Structure: a DFT-relaxed cell (GGA-PBE, Alexandria).

Structural model:
abc: 5.1007 5.1007 26.3021
angles: 90.00 90.00 120.00
Space group R-3m (No. 166, hexagonal axes)
Symmetry-distinct sites (fractional):
Ba1 0.0000 0.0000 0.1018 x6
Bi1 0.0000 0.0000 0.3480 x6
F1 0.0000 0.0000 0.1978 x6

Largest 10 diffraction maxima, by angle, 5° ≤ 2θ ≤ 70°:
d [Å]  two_theta  intensity  (hkl)
8.767  10.09  58  0 0 3
3.667  24.27  100  1 0 4
3.383  26.35  18  0 1 5
2.922  30.59  18  0 0 9
2.862  31.25  42  1 0 7
2.550  35.19  71  1 1 0
2.449  36.70  19  1 1 3
2.094  43.21  22  0 2 4
1.922  47.31  32  1 1 9
1.618  56.90  20  2 1 4

# 4
This entry pairs a crystal structure of Ac3P2Pd9Pb with its theoretical X-ray diffraction stick pattern. Radiation: copper Kα. Structure: a DFT-relaxed cell (GGA-PBE, Alexandria).

Structural model:
abc: 7.2486 7.2486 7.3762
angles: 90.00 90.00 120.00
Space group P-3m1 (No. 164)
Symmetry-distinct sites (fractional):
Ac1 0.0000 0.0000 0.0000 x1
Ac2 0.3333 0.6667 0.6716 x2
P1 0.3333 0.6667 0.1267 x2
Pd1 0.0000 0.5000 0.0000 x3
Pd2 0.1908 0.3817 0.3266 x6
Pb1 0.0000 0.0000 0.5000 x1

Largest 10 diffraction maxima, by angle, 5° ≤ 2θ ≤ 70°:
d [Å]  two_theta  intensity  (hkl)
3.624  24.56  36  1 1 0
3.180  28.06  27  0 1 2
2.888  30.96  87  0 2 1
2.459  36.55  20  0 0 3
2.390  37.63  100  2 0 2
1.995  45.45  13  1 2 2
1.812  50.35  38  2 2 0
1.590  58.01  27  0 2 4
1.459  63.81  18  2 2 3
1.444  64.53  17  0 4 2

# 5
This entry pairs a crystal structure of TbDyO4 with its theoretical X-ray diffraction stick pattern. Radiation: copper Kα. Structure: a DFT-relaxed cell (GGA-PBE, Alexandria).

Structural model:
abc: 6.773 3.783 6.244
angles: 90.00 96.54 90.00
Space group Cm (No. 8)
Symmetry-distinct sites (fractional):
Tb1 0.000 0.000 0.000 x2
Dy1 0.372 0.000 0.458 x2
O1 0.038 0.000 0.375 x2
O2 0.095 0.500 0.786 x2
O3 0.277 0.500 0.669 x2
O4 0.334 0.000 0.086 x2

Largest 10 diffraction maxima, by angle, 5° ≤ 2θ ≤ 70°:
d [Å]  two_theta  intensity  (hkl)
3.364  26.49  31  2 0 0
3.104  28.76  61  0 0 2
2.982  29.97  100  1 1 -1
2.847  31.42  37  1 1 1
2.826  31.66  29  2 0 1
1.929  47.10  30  3 1 0
1.892  48.10  19  0 2 0
1.798  50.79  27  1 1 -3
1.615  57.02  19  0 2 2
1.571  58.77  25  3 1 2